No. 1
For Li3Ac3Ni8, a DFT-relaxed cell (GGA-PBE, Alexandria) gives the calculated X-ray diffraction stick pattern in this record (a wavelength of 1.5418 Å).
Peak positions follow from Bragg's law for the DFT cell and can differ from measured ones.

Most intense lines, 2θ from 15° to 90°, sorted by position:
- d 4.352, rel. 13
- d 3.646, rel. 21
- d 2.739, rel. 53
- d 2.696, rel. 100
- d 2.473, rel. 13
- d 2.146, rel. 43
- d 2.086, rel. 21
- d 2.004, rel. 20
- d 1.659, rel. 24
- d 1.464, rel. 22

Crystal structure
a b c (Å): 9.0900 9.0900 9.0900
angles (deg): 153.47 131.23 56.38
Positions (direct):
Li 0.0000 0.0000 0.0000
Li 0.1723 0.5000 0.6723
Li 0.8277 0.5000 0.3277
Ac 0.2403 0.7403 0.5000
Ac 0.5000 0.0000 0.5000
Ac 0.7597 0.2597 0.5000
Ni 0.0534 0.8765 0.1769
Ni 0.2103 0.3681 0.8422
Ni 0.3005 0.1235 0.1769
Ni 0.4742 0.6319 0.8422
Ni 0.5258 0.3681 0.1578
Ni 0.6995 0.8765 0.8231
Ni 0.7897 0.6319 0.1578
Ni 0.9466 0.1235 0.8231

***

No. 2
For LiHg12Pb3, a DFT-relaxed cell (GGA-PBE, Alexandria) gives the calculated X-ray diffraction stick pattern in this record (a wavelength of 1.5418 Å).
Peak positions follow from Bragg's law for the DFT cell and can differ from measured ones.

Most intense lines, 2θ from 15° to 90°, sorted by position:
- d 2.859, rel. 71
- d 2.747, rel. 77
- d 2.693, rel. 100
- d 2.678, rel. 79
- d 2.661, rel. 35
- d 2.595, rel. 40
- d 2.553, rel. 52
- d 2.517, rel. 37
- d 2.268, rel. 38
- d 2.247, rel. 33

Crystal structure
a b c (Å): 3.3360 5.9393 21.7150
angles (deg): 96.99 91.00 95.59
Positions (direct):
Li 0.0000 0.0000 0.0000
Hg 0.0198 0.4074 0.1220
Hg 0.0245 0.7090 0.6262
Hg 0.4431 0.7902 0.3678
Hg 0.4970 0.6596 0.7517
Hg 0.4983 0.0788 0.8971
Hg 0.5000 0.5000 0.0000
Hg 0.5000 0.5000 0.5000
Hg 0.5017 0.9212 0.1029
Hg 0.5030 0.3404 0.2483
Hg 0.5569 0.2098 0.6322
Hg 0.9755 0.2910 0.3738
Hg 0.9802 0.5926 0.8780
Pb 0.0000 0.0000 0.5000
Pb 0.0014 0.1568 0.7668
Pb 0.9986 0.8432 0.2332

***

No. 3
For LiLa2MgS, a DFT-relaxed cell (GGA-PBE, Alexandria) gives the calculated X-ray diffraction stick pattern in this record (a wavelength of 1.5418 Å).
Peak positions follow from Bragg's law for the DFT cell and can differ from measured ones.

Most intense lines, 2θ from 15° to 90°, sorted by position:
- d 4.507, rel. 73
- d 4.018, rel. 61
- d 2.999, rel. 100
- d 2.841, rel. 67
- d 2.404, rel. 56
- d 2.009, rel. 25
- d 1.835, rel. 25
- d 1.766, rel. 33
- d 1.669, rel. 36
- d 1.500, rel. 19

Crystal structure
a b c (Å): 5.6828 5.6828 4.5074
angles (deg): 90.00 90.00 90.00
Positions (direct):
Li 0.0000 0.0000 0.0000
La 0.0000 0.5000 0.5000
La 0.5000 0.0000 0.5000
Mg 0.5000 0.5000 0.0000
S 0.0000 0.0000 0.5000

***

No. 4
For Pr3P5Pd6, a DFT-relaxed cell (GGA-PBE, Alexandria) gives the calculated X-ray diffraction stick pattern in this record (a wavelength of 1.5418 Å).
Peak positions follow from Bragg's law for the DFT cell and can differ from measured ones.

Most intense lines, 2θ from 15° to 90°, sorted by position:
- d 3.859, rel. 14
- d 2.795, rel. 13
- d 2.612, rel. 33
- d 2.578, rel. 28
- d 2.517, rel. 100
- d 2.093, rel. 22
- d 2.024, rel. 26
- d 1.600, rel. 15
- d 1.455, rel. 13
- d 1.449, rel. 21

Crystal structure
a b c (Å): 4.0479 12.5570 10.0310
angles (deg): 90.00 90.00 90.00
Positions (direct):
Pr 0.2500 0.0915 0.2460
Pr 0.2500 0.4085 0.2460
Pr 0.2500 0.7500 0.2587
Pr 0.7500 0.2500 0.7413
Pr 0.7500 0.5915 0.7540
Pr 0.7500 0.9085 0.7540
P 0.2500 0.0813 0.8492
P 0.2500 0.4187 0.8492
P 0.2500 0.6262 0.5221
P 0.2500 0.7500 0.8722
P 0.2500 0.8738 0.5221
P 0.7500 0.1262 0.4779
P 0.7500 0.2500 0.1278
P 0.7500 0.3738 0.4779
P 0.7500 0.5813 0.1508
P 0.7500 0.9187 0.1508
Pd 0.2500 0.0590 0.6070
Pd 0.2500 0.2500 0.4790
Pd 0.2500 0.2500 0.9882
Pd 0.2500 0.4410 0.6070
Pd 0.2500 0.5803 0.0088
Pd 0.2500 0.9197 0.0088
Pd 0.7500 0.0803 0.9912
Pd 0.7500 0.4197 0.9912
Pd 0.7500 0.5590 0.3930
Pd 0.7500 0.7500 0.0118
Pd 0.7500 0.7500 0.5210
Pd 0.7500 0.9410 0.3930

***

No. 5
For Ni2TePt, a DFT-relaxed cell (GGA-PBE, Alexandria) gives the calculated X-ray diffraction stick pattern in this record (a wavelength of 1.5418 Å).
Peak positions follow from Bragg's law for the DFT cell and can differ from measured ones.

Most intense lines, 2θ from 15° to 90°, sorted by position:
- d 3.330, rel. 14
- d 2.995, rel. 23
- d 2.644, rel. 13
- d 2.227, rel. 100
- d 2.174, rel. 15
- d 2.067, rel. 23
- d 1.924, rel. 15
- d 1.665, rel. 13
- d 1.297, rel. 10
- d 1.222, rel. 14

Crystal structure
a b c (Å): 3.3305 4.1332 4.3474
angles (deg): 90.00 90.00 90.00
Positions (direct):
Ni 0.0000 0.0000 0.0000
Ni 0.0000 0.5000 0.3476
Te 0.5000 0.0000 0.4518
Pt 0.5000 0.5000 0.8582

***

- Number 1 is which compound?
  Li3Ac3Ni8